No. 1
Starting from the PBE geometry in the Materials Project, the powder XRD pattern of ZnI2 was simulated for Cu Ka.
Intensities are scaled so that the largest is 100.

Crystal structure
a b c (Å): 13.3865 13.3865 23.3883
angles (deg): 90.00 90.00 90.00
Space group I4_1/acd (No. 142, origin choice 2)
Asymmetric unit:
1 Zn 0.0943 0.1254 0.3121 (multiplicity 32)
2 I 0.0000 0.2500 0.0073 (multiplicity 16)
3 I 0.0284 0.0195 0.8763 (multiplicity 32)
4 I 0.2046 0.0000 0.2500 (multiplicity 16)

Peak list (10 most intense, 2θ = 10–90°, sorted by position)
2θ/deg	intensity
12.03	14
18.69	24
24.19	100
26.64	17
30.75	14
38.02	15
40.99	33
45.58	17
46.99	10
50.65	13

No. 2
Starting from the PBE geometry in the Materials Project, the powder XRD pattern of Cu5Se4Cl2O12 was simulated for Cu Ka.
Intensities are scaled so that the largest is 100.

Crystal structure
a b c (Å): 11.0464 8.4496 7.6140
angles (deg): 90.00 90.79 90.00
Space group P2_1/c (No. 14)
Asymmetric unit:
1 Cu 0.0000 0.0000 0.0000 (multiplicity 2)
2 Cu 0.1312 0.1319 0.6598 (multiplicity 4)
3 Cu 0.3612 0.5071 0.9217 (multiplicity 4)
4 Se 0.1246 0.6877 0.8298 (multiplicity 4)
5 Se 0.3195 0.0974 0.0037 (multiplicity 4)
6 Cl 0.4627 0.6163 0.1551 (multiplicity 4)
7 O 0.0006 0.7329 0.4531 (multiplicity 4)
8 O 0.0210 0.5384 0.7555 (multiplicity 4)
9 O 0.1984 0.0302 0.8778 (multiplicity 4)
10 O 0.2018 0.5959 0.9983 (multiplicity 4)
11 O 0.2793 0.2107 0.5628 (multiplicity 4)
12 O 0.2868 0.5144 0.6884 (multiplicity 4)

Peak list (10 most intense, 2θ = 10–90°, sorted by position)
2θ/deg	intensity
24.10	34
25.37	100
25.67	31
27.03	60
29.03	36
32.25	31
34.12	36
34.91	31
36.05	35
36.99	25

No. 3
Starting from the PBE geometry in the Materials Project, the powder XRD pattern of MnGa2S4 was simulated for Cu Ka.
Intensities are scaled so that the largest is 100.

Crystal structure
a b c (Å): 6.2370 3.7096 6.7784
angles (deg): 90.00 90.33 90.00
Space group Pm (No. 6)
Asymmetric unit:
1 Mn 0.0000 0.0000 0.0000 (multiplicity 1)
2 Ga 0.5346 0.5000 0.1987 (multiplicity 1)
3 Ga 0.9873 0.5000 0.5162 (multiplicity 1)
4 S 0.1408 0.0000 0.6721 (multiplicity 1)
5 S 0.1459 0.5000 0.1944 (multiplicity 1)
6 S 0.6164 0.0000 0.0038 (multiplicity 1)
7 S 0.6308 0.5000 0.5132 (multiplicity 1)

Peak list (10 most intense, 2θ = 10–90°, sorted by position)
2θ/deg	intensity
13.06	30
19.28	27
26.30	34
27.41	100
28.63	70
31.00	60
40.10	39
47.10	63
49.12	29
52.14	36

No. 4
Starting from the PBE geometry in the Materials Project, the powder XRD pattern of K2YHgF6 was simulated for Cu Ka.
Intensities are scaled so that the largest is 100.

Crystal structure
a b c (Å): 9.4948 9.4948 9.4948
angles (deg): 90.00 90.00 90.00
Space group Fm-3m (No. 225)
Asymmetric unit:
1 K 0.2500 0.2500 0.2500 (multiplicity 8)
2 Y 0.0000 0.0000 0.0000 (multiplicity 4)
3 Hg 0.0000 0.0000 0.5000 (multiplicity 4)
4 F 0.0000 0.0000 0.2295 (multiplicity 24)

Peak list (10 most intense, 2θ = 10–90°, sorted by position)
2θ/deg	intensity
18.69	63
26.55	100
31.24	15
37.90	41
42.58	31
46.88	41
54.68	25
58.31	15
61.80	20
74.83	22

No. 5
Starting from the PBE geometry in the Materials Project, the powder XRD pattern of HoCdHg2 was simulated for Cu Ka.
Intensities are scaled so that the largest is 100.

Crystal structure
a b c (Å): 7.2037 7.2037 7.2037
angles (deg): 90.00 90.00 90.00
Space group Fm-3m (No. 225)
Asymmetric unit:
1 Ho 0.0000 0.0000 0.0000 (multiplicity 4)
2 Cd 0.0000 0.0000 0.5000 (multiplicity 4)
3 Hg 0.2500 0.2500 0.2500 (multiplicity 8)

Peak list (10 most intense, 2θ = 10–90°, sorted by position)
2θ/deg	intensity
21.36	1
24.72	4
35.24	100
43.52	1
50.69	18
57.19	2
63.24	37
74.51	12
79.90	1
85.19	17

No. 6
Starting from the PBE geometry in the Materials Project, the powder XRD pattern of TmMgPd was simulated for Cu Ka.
Intensities are scaled so that the largest is 100.

Crystal structure
a b c (Å): 7.4525 7.4525 3.9760
angles (deg): 90.00 90.00 120.00
Space group P-62m (No. 189)
Asymmetric unit:
1 Tm 0.0000 0.5889 0.0000 (multiplicity 3)
2 Mg 0.0000 0.2487 0.5000 (multiplicity 3)
3 Pd 0.0000 0.0000 0.0000 (multiplicity 1)
4 Pd 0.3333 0.6667 0.5000 (multiplicity 2)

Peak list (10 most intense, 2θ = 10–90°, sorted by position)
2θ/deg	intensity
23.88	39
27.64	26
32.94	93
35.84	100
36.85	25
42.00	31
43.53	25
51.02	23
56.37	27
67.50	25